Entry 1:
For Cd5C3, a crystal structure in Alexandria, relaxed with PBE gives the simulated powder diffraction line list in this record (Cu Kα, 1.54184 Å).
Peak positions follow from Bragg's law for the DFT cell and can differ from measured ones.

Cell and atoms:
a = 7.1885 Å, b = 7.1885 Å, c = 7.1885 Å
α = 101.17°, β = 101.17°, γ = 127.77°
Element x y z (fractional)
Cd  0.0000  0.5000  0.5000
Cd  0.0478  0.1716  0.7149
Cd  0.1716  0.4567  0.1238
Cd  0.3329  0.0478  0.8762
Cd  0.4567  0.3329  0.2851
Cd  0.5000  0.0000  0.5000
Cd  0.5478  0.8329  0.8762
Cd  0.6716  0.5478  0.7149
Cd  0.8329  0.9567  0.2851
Cd  0.9567  0.6716  0.1238
C  0.0014  0.0014  0.0000
C  0.0993  0.8992  0.5000
C  0.3992  0.5993  0.5000
C  0.5014  0.5014  0.0000
C  0.5993  0.0993  0.2001
C  0.8992  0.3992  0.7999

Top 8 peaks for 2θ = 15–90°, sorted by position:
2θ/deg  I/Imax
25.97  50
28.20  54
30.98  77
31.49  56
34.49  42
38.29  100
39.90  71
43.30  100

***

Entry 2:
For Sc2In2Pb, a crystal structure in Alexandria, relaxed with PBE gives the simulated powder diffraction line list in this record (Cu Kα, 1.54184 Å).
Peak positions follow from Bragg's law for the DFT cell and can differ from measured ones.

Cell and atoms:
a = 8.4088 Å, b = 8.4088 Å, c = 3.5772 Å
α = 90.00°, β = 90.00°, γ = 90.00°
Element x y z (fractional)
Sc  0.1318  0.3682  0.0000
Sc  0.3682  0.8682  0.0000
Sc  0.6318  0.1318  0.0000
Sc  0.8682  0.6318  0.0000
In  0.1713  0.6712  0.5000
In  0.3288  0.1713  0.5000
In  0.6712  0.8288  0.5000
In  0.8288  0.3288  0.5000
Pb  0.0000  0.0000  0.0000
Pb  0.5000  0.5000  0.0000

Top 8 peaks for 2θ = 15–90°, sorted by position:
2θ/deg  I/Imax
29.13  51
30.06  39
32.87  86
33.71  100
34.61  80
52.81  31
61.96  24
62.59  33